Entry 1:
Starting from a cell relaxed with GGA-PBE, the powder diffraction line list of Ac2SnHg was calculated for Cu Kα (weighted mean of Kα1 and Kα2).

Structural model:
```
data_Ac2SnHg
_chemical_formula_sum 'Ac8 Sn4 Hg4'
_cell_length_a 8.161
_cell_length_b 8.161
_cell_length_c 8.161
_cell_angle_alpha 90.00
_cell_angle_beta 90.00
_cell_angle_gamma 90.00
_symmetry_space_group_name_H-M 'F m -3 m'
_symmetry_Int_Tables_number 225
_symmetry_space_group_name_Hall '-F 4 2 3'
loop_
_atom_site_label
_atom_site_fract_x
_atom_site_fract_y
_atom_site_fract_z
Ac1 0.250 0.250 0.250
Sn1 0.000 0.000 0.000
Hg1 0.000 0.000 0.500
```

Peak list (10 most intense, 10 to 80 degrees two-theta, by intensity)
| 2theta | d [Å] | Rel. int. | index |
| --- | --- | --- | --- |
| 31.0 | 2.885 | 100.0 | 2 2 0 |
| 55.1 | 1.666 | 40.8 | 4 2 2 |
| 44.4 | 2.040 | 19.1 | 4 0 0 |
| 73.4 | 1.290 | 17.9 | 6 2 0 |
| 64.6 | 1.443 | 12.8 | 4 4 0 |
| 21.8 | 4.080 | 2.9 | 2 0 0 |
| 18.8 | 4.712 | 2.3 | 1 1 1 |
| 36.5 | 2.461 | 1.4 | 3 1 1 |
| 50.0 | 1.825 | 1.3 | 4 2 0 |
| 38.2 | 2.356 | 0.9 | 2 2 2 |

Entry 2:
Starting from a cell relaxed with GGA-PBE, the powder diffraction line list of AcTlHg2 was calculated for Cu Kα (weighted mean of Kα1 and Kα2).

Structural model:
```
data_AcTlHg2
_chemical_formula_sum 'Ac4 Tl4 Hg8'
_cell_length_a 7.770
_cell_length_b 7.770
_cell_length_c 7.770
_cell_angle_alpha 90.00
_cell_angle_beta 90.00
_cell_angle_gamma 90.00
_symmetry_space_group_name_H-M 'F m -3 m'
_symmetry_Int_Tables_number 225
_symmetry_space_group_name_Hall '-F 4 2 3'
loop_
_atom_site_label
_atom_site_fract_x
_atom_site_fract_y
_atom_site_fract_z
Ac1 0.000 0.000 0.000
Tl1 0.000 0.000 0.500
Hg1 0.250 0.250 0.250
```

Peak list (5 most intense, 10 to 80 degrees two-theta, by intensity)
| 2theta | d [Å] | Rel. int. | index |
| --- | --- | --- | --- |
| 32.6 | 2.747 | 100.0 | 2 2 0 |
| 58.2 | 1.586 | 39.5 | 4 2 2 |
| 46.8 | 1.942 | 18.7 | 4 0 0 |
| 77.7 | 1.229 | 17.4 | 6 2 0 |
| 68.3 | 1.374 | 12.3 | 4 4 0 |

Entry 3:
Starting from a cell relaxed with GGA-PBE, the powder diffraction line list of Ac2ZnHg was calculated for Cu Kα (weighted mean of Kα1 and Kα2).

Structural model:
```
data_Ac2ZnHg
_chemical_formula_sum 'Ac8 Zn4 Hg4'
_cell_length_a 7.975
_cell_length_b 7.975
_cell_length_c 7.975
_cell_angle_alpha 90.00
_cell_angle_beta 90.00
_cell_angle_gamma 90.00
_symmetry_space_group_name_H-M 'F m -3 m'
_symmetry_Int_Tables_number 225
_symmetry_space_group_name_Hall '-F 4 2 3'
loop_
_atom_site_label
_atom_site_fract_x
_atom_site_fract_y
_atom_site_fract_z
Ac1 0.250 0.250 0.250
Zn1 0.000 0.000 0.000
Hg1 0.000 0.000 0.500
```

Peak list (10 most intense, 10 to 80 degrees two-theta, by intensity)
| 2theta | d [Å] | Rel. int. | index |
| --- | --- | --- | --- |
| 31.7 | 2.820 | 100.0 | 2 2 0 |
| 56.5 | 1.628 | 39.9 | 4 2 2 |
| 45.5 | 1.994 | 18.8 | 4 0 0 |
| 75.4 | 1.261 | 17.3 | 6 2 0 |
| 66.3 | 1.410 | 12.4 | 4 4 0 |
| 19.3 | 4.604 | 7.0 | 1 1 1 |
| 22.3 | 3.988 | 6.6 | 2 0 0 |
| 37.4 | 2.405 | 4.3 | 3 1 1 |
| 51.2 | 1.783 | 3.1 | 4 2 0 |
| 39.1 | 2.302 | 2.1 | 2 2 2 |

Entry 4:
Starting from a cell relaxed with GGA-PBE, the powder diffraction line list of Ac3Ho was calculated for Cu Kα (weighted mean of Kα1 and Kα2).

Structural model:
```
data_Ac3Ho
_chemical_formula_sum 'Ac6 Ho2'
_cell_length_a 7.8270
_cell_length_b 7.8270
_cell_length_c 6.3378
_cell_angle_alpha 90.00
_cell_angle_beta 90.00
_cell_angle_gamma 120.00
_symmetry_space_group_name_H-M 'P 63/m m c'
_symmetry_Int_Tables_number 194
_symmetry_space_group_name_Hall '-P 6c 2c'
loop_
_atom_site_label
_atom_site_fract_x
_atom_site_fract_y
_atom_site_fract_z
Ac1 0.1697 0.3395 0.2500
Ho1 0.3333 0.6667 0.7500
```

Peak list (10 most intense, 10 to 80 degrees two-theta, by intensity)
| 2theta | d [Å] | Rel. int. | index |
| --- | --- | --- | --- |
| 29.9 | 2.989 | 100.0 | 2 0 1 |
| 28.2 | 3.169 | 25.9 | 0 0 2 |
| 55.2 | 1.665 | 24.6 | 2 2 2 |
| 50.9 | 1.793 | 23.4 | 2 0 3 |
| 26.3 | 3.389 | 23.0 | 2 0 0 |
| 46.4 | 1.957 | 20.3 | 2 2 0 |
| 56.2 | 1.637 | 17.4 | 4 0 1 |
| 38.9 | 2.315 | 16.7 | 2 0 2 |
| 75.8 | 1.256 | 14.6 | 4 2 1 |
| 77.5 | 1.231 | 9.3 | 2 2 4 |

Entry 5:
Starting from a cell relaxed with GGA-PBE, the powder diffraction line list of Ac3I was calculated for Cu Kα (weighted mean of Kα1 and Kα2).

Structural model:
```
data_Ac3I
_chemical_formula_sum 'Ac6 I2'
_cell_length_a 5.450
_cell_length_b 5.450
_cell_length_c 11.352
_cell_angle_alpha 90.00
_cell_angle_beta 90.00
_cell_angle_gamma 90.00
_symmetry_space_group_name_H-M 'I 4/m m m'
_symmetry_Int_Tables_number 139
_symmetry_space_group_name_Hall '-I 4 2'
loop_
_atom_site_label
_atom_site_fract_x
_atom_site_fract_y
_atom_site_fract_z
Ac1 0.000 0.000 0.000
Ac2 0.000 0.500 0.250
I1 0.000 0.000 0.500
```

Peak list (10 most intense, 10 to 80 degrees two-theta, by intensity)
| 2theta | d [Å] | Rel. int. | index |
| --- | --- | --- | --- |
| 28.0 | 3.188 | 100.0 | 1 1 2 |
| 32.9 | 2.725 | 33.1 | 2 0 0 |
| 55.7 | 1.649 | 30.2 | 3 1 2 |
| 46.2 | 1.966 | 26.1 | 2 0 4 |
| 31.5 | 2.838 | 18.5 | 0 0 4 |
| 54.0 | 1.698 | 16.6 | 1 1 6 |
| 57.8 | 1.594 | 13.6 | 2 2 4 |
| 74.5 | 1.274 | 13.0 | 3 1 6 |
| 47.2 | 1.927 | 12.3 | 2 2 0 |
| 75.5 | 1.259 | 6.5 | 2 0 8 |

Entry 6:
Starting from a cell relaxed with GGA-PBE, the powder diffraction line list of Ac3I was calculated for Cu Kα (weighted mean of Kα1 and Kα2).

Structural model:
```
data_Ac3I
_chemical_formula_sum 'Ac6 I2'
_cell_length_a 7.9236
_cell_length_b 7.9236
_cell_length_c 6.0434
_cell_angle_alpha 90.00
_cell_angle_beta 90.00
_cell_angle_gamma 120.00
_symmetry_space_group_name_H-M 'P 63/m m c'
_symmetry_Int_Tables_number 194
_symmetry_space_group_name_Hall '-P 6c 2c'
loop_
_atom_site_label
_atom_site_fract_x
_atom_site_fract_y
_atom_site_fract_z
Ac1 0.1688 0.3376 0.2500
I1 0.3333 0.6667 0.7500
```

Peak list (10 most intense, 10 to 80 degrees two-theta, by intensity)
| 2theta | d [Å] | Rel. int. | index |
| --- | --- | --- | --- |
| 29.9 | 2.984 | 100.0 | 2 0 1 |
| 55.5 | 1.657 | 24.2 | 2 2 2 |
| 26.0 | 3.431 | 23.8 | 2 0 0 |
| 29.6 | 3.022 | 23.0 | 0 0 2 |
| 52.7 | 1.737 | 21.2 | 2 0 3 |
| 45.8 | 1.981 | 21.1 | 2 2 0 |
| 55.7 | 1.650 | 17.9 | 4 0 1 |
| 39.7 | 2.268 | 15.7 | 2 0 2 |
| 74.9 | 1.268 | 15.1 | 4 2 1 |
| 79.8 | 1.201 | 8.7 | 2 2 4 |

Entry 7:
Starting from a cell relaxed with GGA-PBE, the powder diffraction line list of AcIn3 was calculated for Cu Kα (weighted mean of Kα1 and Kα2).

Structural model:
```
data_AcIn3
_chemical_formula_sum 'Ac2 In6'
_cell_length_a 7.2164
_cell_length_b 7.2164
_cell_length_c 5.2519
_cell_angle_alpha 90.00
_cell_angle_beta 90.00
_cell_angle_gamma 120.00
_symmetry_space_group_name_H-M 'P 63/m m c'
_symmetry_Int_Tables_number 194
_symmetry_space_group_name_Hall '-P 6c 2c'
loop_
_atom_site_label
_atom_site_fract_x
_atom_site_fract_y
_atom_site_fract_z
Ac1 0.3333 0.6667 0.2500
In1 0.1493 0.2986 0.7500
```

Peak list (10 most intense, 10 to 80 degrees two-theta, by intensity)
| 2theta | d [Å] | Rel. int. | index |
| --- | --- | --- | --- |
| 33.4 | 2.685 | 100.0 | 2 0 1 |
| 28.6 | 3.125 | 24.7 | 2 0 0 |
| 34.1 | 2.626 | 22.1 | 0 0 2 |
| 62.5 | 1.487 | 19.1 | 2 2 2 |
| 50.6 | 1.804 | 18.1 | 2 2 0 |
| 60.6 | 1.527 | 17.7 | 2 0 3 |
| 22.1 | 4.021 | 15.1 | 1 0 1 |
| 45.1 | 2.010 | 14.2 | 2 0 2 |
| 62.0 | 1.498 | 13.6 | 4 0 1 |
| 24.7 | 3.608 | 6.0 | 1 1 0 |

Entry 8:
Starting from a cell relaxed with GGA-PBE, the powder diffraction line list of Ac3In was calculated for Cu Kα (weighted mean of Kα1 and Kα2).

Structural model:
```
data_Ac3In
_chemical_formula_sum 'Ac6 In2'
_cell_length_a 7.7183
_cell_length_b 7.7183
_cell_length_c 6.0283
_cell_angle_alpha 90.00
_cell_angle_beta 90.00
_cell_angle_gamma 120.00
_symmetry_space_group_name_H-M 'P 63/m m c'
_symmetry_Int_Tables_number 194
_symmetry_space_group_name_Hall '-P 6c 2c'
loop_
_atom_site_label
_atom_site_fract_x
_atom_site_fract_y
_atom_site_fract_z
Ac1 0.1750 0.3501 0.2500
In1 0.3333 0.6667 0.7500
```

Peak list (10 most intense, 10 to 80 degrees two-theta, by intensity)
| 2theta | d [Å] | Rel. int. | index |
| --- | --- | --- | --- |
| 30.6 | 2.923 | 100.0 | 2 0 1 |
| 29.6 | 3.014 | 24.5 | 0 0 2 |
| 26.7 | 3.342 | 23.6 | 2 0 0 |
| 56.6 | 1.625 | 23.2 | 2 2 2 |
| 53.2 | 1.722 | 21.7 | 2 0 3 |
| 47.1 | 1.930 | 19.9 | 2 2 0 |
| 57.2 | 1.610 | 16.6 | 4 0 1 |
| 40.3 | 2.238 | 16.0 | 2 0 2 |
| 77.2 | 1.236 | 13.1 | 4 2 1 |
| 19.8 | 4.477 | 7.9 | 1 0 1 |

Entry 9:
Starting from a cell relaxed with GGA-PBE, the powder diffraction line list of SrAcIn2 was calculated for Cu Kα (weighted mean of Kα1 and Kα2).

Structural model:
```
data_SrAcIn2
_chemical_formula_sum 'Sr4 Ac4 In8'
_cell_length_a 8.238
_cell_length_b 8.238
_cell_length_c 8.238
_cell_angle_alpha 90.00
_cell_angle_beta 90.00
_cell_angle_gamma 90.00
_symmetry_space_group_name_H-M 'F m -3 m'
_symmetry_Int_Tables_number 225
_symmetry_space_group_name_Hall '-F 4 2 3'
loop_
_atom_site_label
_atom_site_fract_x
_atom_site_fract_y
_atom_site_fract_z
Sr1 0.000 0.000 0.000
Ac1 0.000 0.000 0.500
In1 0.250 0.250 0.250
```

Peak list (10 most intense, 10 to 80 degrees two-theta, by intensity)
| 2theta | d [Å] | Rel. int. | index |
| --- | --- | --- | --- |
| 30.7 | 2.912 | 100.0 | 2 2 0 |
| 54.6 | 1.682 | 39.3 | 4 2 2 |
| 44.0 | 2.059 | 18.7 | 4 0 0 |
| 72.6 | 1.302 | 16.8 | 6 2 0 |
| 18.7 | 4.756 | 12.6 | 1 1 1 |
| 63.9 | 1.456 | 12.2 | 4 4 0 |
| 36.2 | 2.484 | 7.7 | 3 1 1 |
| 48.1 | 1.890 | 3.6 | 3 3 1 |
| 58.2 | 1.585 | 2.8 | 5 1 1 |
| 67.2 | 1.392 | 2.7 | 5 3 1 |

Entry 10:
Starting from a cell relaxed with GGA-PBE, the powder diffraction line list of LiAc2Ir was calculated for Cu Kα (weighted mean of Kα1 and Kα2).

Structural model:
```
data_LiAc2Ir
_chemical_formula_sum 'Li4 Ac8 Ir4'
_cell_length_a 7.594
_cell_length_b 7.594
_cell_length_c 7.594
_cell_angle_alpha 90.00
_cell_angle_beta 90.00
_cell_angle_gamma 90.00
_symmetry_space_group_name_H-M 'F m -3 m'
_symmetry_Int_Tables_number 225
_symmetry_space_group_name_Hall '-F 4 2 3'
loop_
_atom_site_label
_atom_site_fract_x
_atom_site_fract_y
_atom_site_fract_z
Li1 0.000 0.000 0.000
Ac1 0.250 0.250 0.250
Ir1 0.000 0.000 0.500
```

Peak list (10 most intense, 10 to 80 degrees two-theta, by intensity)
| 2theta | d [Å] | Rel. int. | index |
| --- | --- | --- | --- |
| 33.4 | 2.685 | 100.0 | 2 2 0 |
| 59.6 | 1.550 | 39.1 | 4 2 2 |
| 20.3 | 4.384 | 19.1 | 1 1 1 |
| 47.9 | 1.899 | 18.6 | 4 0 0 |
| 23.4 | 3.797 | 18.1 | 2 0 0 |
| 79.9 | 1.201 | 17.2 | 6 2 0 |
| 70.1 | 1.342 | 12.2 | 4 4 0 |
| 39.4 | 2.290 | 10.8 | 3 1 1 |
| 54.0 | 1.698 | 8.0 | 4 2 0 |
| 41.2 | 2.192 | 5.8 | 2 2 2 |

Entry 11:
Starting from a cell relaxed with GGA-PBE, the powder diffraction line list of KAc3 was calculated for Cu Kα (weighted mean of Kα1 and Kα2).

Structural model:
```
data_KAc3
_chemical_formula_sum 'K1 Ac3'
_cell_length_a 5.744
_cell_length_b 5.744
_cell_length_c 5.744
_cell_angle_alpha 90.00
_cell_angle_beta 90.00
_cell_angle_gamma 90.00
_symmetry_space_group_name_H-M 'P m -3 m'
_symmetry_Int_Tables_number 221
_symmetry_space_group_name_Hall '-P 4 2 3'
loop_
_atom_site_label
_atom_site_fract_x
_atom_site_fract_y
_atom_site_fract_z
K1 0.000 0.000 0.000
Ac1 0.000 0.500 0.500
```

Peak list (10 most intense, 10 to 80 degrees two-theta, by intensity)
| 2theta | d [Å] | Rel. int. | index |
| --- | --- | --- | --- |
| 26.9 | 3.316 | 100.0 | 1 1 1 |
| 31.1 | 2.872 | 51.7 | 2 0 0 |
| 52.9 | 1.732 | 47.8 | 3 1 1 |
| 44.6 | 2.031 | 39.0 | 2 2 0 |
| 71.6 | 1.318 | 19.6 | 3 3 1 |
| 73.8 | 1.284 | 18.0 | 4 2 0 |
| 15.4 | 5.744 | 17.1 | 1 0 0 |
| 21.9 | 4.061 | 15.6 | 1 1 0 |
| 55.4 | 1.658 | 13.9 | 2 2 2 |
| 34.9 | 2.569 | 10.0 | 2 1 0 |

Entry 12:
Starting from a cell relaxed with GGA-PBE, the powder diffraction line list of K3Ac was calculated for Cu Kα (weighted mean of Kα1 and Kα2).

Structural model:
```
data_K3Ac
_chemical_formula_sum 'K6 Ac2'
_cell_length_a 8.8700
_cell_length_b 8.8700
_cell_length_c 7.3277
_cell_angle_alpha 90.00
_cell_angle_beta 90.00
_cell_angle_gamma 120.00
_symmetry_space_group_name_H-M 'P 63/m m c'
_symmetry_Int_Tables_number 194
_symmetry_space_group_name_Hall '-P 6c 2c'
loop_
_atom_site_label
_atom_site_fract_x
_atom_site_fract_y
_atom_site_fract_z
K1 0.1683 0.3367 0.2500
Ac1 0.3333 0.6667 0.7500
```

Peak list (10 most intense, 10 to 80 degrees two-theta, by intensity)
| 2theta | d [Å] | Rel. int. | index |
| --- | --- | --- | --- |
| 26.2 | 3.402 | 100.0 | 2 0 1 |
| 16.7 | 5.302 | 72.6 | 1 0 1 |
| 20.0 | 4.435 | 32.7 | 1 1 0 |
| 33.2 | 2.699 | 29.9 | 2 1 1 |
| 11.5 | 7.682 | 28.2 | 1 0 0 |
| 24.3 | 3.664 | 26.9 | 0 0 2 |
| 48.0 | 1.897 | 24.7 | 2 2 2 |
| 43.9 | 2.061 | 24.1 | 2 0 3 |
| 23.2 | 3.841 | 22.7 | 2 0 0 |
| 31.7 | 2.825 | 21.9 | 1 1 2 |